# 1
The following is a calculated powder XRD pattern of GdY2Mg3ZnIn2. It was derived from a cell relaxed with PBE, using λ = 1.5418 Å (Cu Kα).

Unit cell a=4.5647 b=13.0229 c=7.4815 alpha=90.00 beta=90.00 gamma=90.00
Space group Amm2 (No. 38)
One atom of each set of equivalent atoms:
Gd  0.0000  0.0000  0.0000
Y  0.0000  0.2075  0.3775
Mg  0.5000  0.0000  0.3486
Mg  0.5000  0.1177  0.7023
Zn  0.0000  0.0000  0.5834
In  0.5000  0.1672  0.0849

The 6 most intense peaks (10° ≤ 2θ ≤ 80°), in order of rising 2θ:
two_theta  Rel. int.  (hkl)
13.65  29  0 1 1
23.74  33  0 0 2
30.86  100  1 3 1
33.87  100  1 4 0
39.48  30  2 0 0
41.76  33  0 3 3

# 2
The following is a calculated powder XRD pattern of La2NdZn2Si4Pd2. It was derived from a cell relaxed with PBE, using λ = 1.5418 Å (Cu Kα).

Unit cell a=4.1994 b=4.2884 c=24.7365 alpha=90.00 beta=90.00 gamma=90.00
Space group Immm (No. 71)
One atom of each set of equivalent atoms:
La  0.0000  0.0000  0.1473
Nd  0.0000  0.5000  0.5000
Zn  0.0000  0.0000  0.4033
Si  0.0000  0.0000  0.3032
Si  0.0000  0.5000  0.0478
Pd  0.0000  0.5000  0.2504

The 6 most intense peaks (10° ≤ 2θ ≤ 80°), in order of rising 2θ:
two_theta  Rel. int.  (hkl)
23.78  17  1 0 3
32.84  29  0 1 7
33.19  100  1 1 4
42.14  20  0 2 0
43.08  18  2 0 0
55.21  13  2 1 7

# 3
The following is a calculated powder XRD pattern of LaNdB2Pt8. It was derived from a cell relaxed with PBE, using λ = 1.5418 Å (Cu Kα).

Unit cell a=5.5092 b=5.5092 c=7.7084 alpha=90.00 beta=90.00 gamma=120.00
Space group P6/mmm (No. 191)
One atom of each set of equivalent atoms:
La  0.0000  0.0000  0.0000
Nd  0.0000  0.0000  0.5000
B  0.3333  0.6667  0.5000
Pt  0.0000  0.5000  0.3012
Pt  0.3333  0.6667  0.0000

The 6 most intense peaks (10° ≤ 2θ ≤ 80°), in order of rising 2θ:
two_theta  Rel. int.  (hkl)
34.58  36  1 1 1
34.92  43  0 0 3
37.71  93  2 0 0
40.24  100  1 1 2
44.67  54  2 0 2
68.07  37  2 2 0

# 4
The following is a calculated powder XRD pattern of LuTlPdSe3. It was derived from a cell relaxed with PBE, using λ = 1.5418 Å (Cu Kα).

Unit cell a=8.3121 b=3.9922 c=10.4363 alpha=90.00 beta=111.43 gamma=90.00
Space group P2_1/m (No. 11)
One atom of each set of equivalent atoms:
Lu  0.1917  0.2500  0.1466
Tl  0.2394  0.7500  0.7152
Pd  0.4073  0.7500  0.3917
Se  0.0538  0.2500  0.8628
Se  0.2716  0.2500  0.4529
Se  0.4336  0.7500  0.1555

The 6 most intense peaks (10° ≤ 2θ ≤ 80°), in order of rising 2θ:
two_theta  Rel. int.  (hkl)
11.73  31  1 0 -1
31.07  100  2 1 -1
33.68  32  1 0 3
34.22  46  1 1 -3
35.88  31  2 1 1
45.44  41  0 2 0

# 5
The following is a calculated powder XRD pattern of NbP4S10Cl5. It was derived from a cell relaxed with PBE, using λ = 1.5418 Å (Cu Kα).

Unit cell a=9.7020 b=11.0382 c=11.6315 alpha=71.31 beta=68.11 gamma=67.63
Space group P-1 (No. 2)
One atom of each set of equivalent atoms:
Nb  0.0442  0.1334  0.3372
P  0.0116  0.3279  0.7627
P  0.3028  0.0448  0.8400
P  0.3083  0.3558  0.8416
P  0.3854  0.2707  0.5587
S  0.0635  0.1225  0.8515
S  0.0685  0.4331  0.8540
S  0.1459  0.3493  0.5705
S  0.2060  0.6004  0.2262
S  0.3495  0.8588  0.9226
S  0.3570  0.4517  0.9260
S  0.3581  0.1507  0.9312
S  0.4364  0.0655  0.6477
S  0.4421  0.3760  0.6496
S  0.4963  0.7093  0.6169
Cl  0.0780  0.7851  0.8179
Cl  0.1353  0.7104  0.5415
Cl  0.1405  0.0127  0.5355
Cl  0.2120  0.9439  0.2564
Cl  0.2278  0.2430  0.2591

The 6 most intense peaks (10° ≤ 2θ ≤ 80°), in order of rising 2θ:
two_theta  Rel. int.  (hkl)
29.66  60  2 3 3
29.78  63  0 3 -1
29.88  60  3 0 1
34.70  100  3 3 0
49.52  69  5 3 4
49.65  62  1 3 6

# 6
The following is a calculated powder XRD pattern of LiLa2Bi4Au. It was derived from a cell relaxed with PBE, using λ = 1.5418 Å (Cu Kα).

Unit cell a=4.6232 b=4.6232 c=10.6234 alpha=90.00 beta=90.00 gamma=90.00
Space group P-4m2 (No. 115)
One atom of each set of equivalent atoms:
Li  0.0000  0.0000  0.0000
La  0.0000  0.5000  0.2493
Bi  0.0000  0.0000  0.5000
Bi  0.0000  0.5000  0.8280
Bi  0.5000  0.5000  0.5000
Au  0.5000  0.5000  0.0000

The 6 most intense peaks (10° ≤ 2θ ≤ 80°), in order of rising 2θ:
two_theta  Rel. int.  (hkl)
25.54  22  1 0 2
28.57  18  1 1 1
32.15  100  1 1 2
38.96  41  2 0 0
47.12  19  1 0 5
66.31  26  3 1 2

# 7
The following is a calculated powder XRD pattern of Dy2ErCu4Si4. It was derived from a cell relaxed with PBE, using λ = 1.5418 Å (Cu Kα).

Unit cell a=4.1240 b=6.5064 c=13.6413 alpha=90.00 beta=90.00 gamma=90.00
Space group Immm (No. 71)
One atom of each set of equivalent atoms:
Dy  0.0000  0.0000  0.1297
Er  0.0000  0.5000  0.0000
Cu  0.0000  0.1908  0.3312
Si  0.0000  0.3140  0.5000
Si  0.0000  0.5000  0.2157

The 6 most intense peaks (10° ≤ 2θ ≤ 80°), in order of rising 2θ:
two_theta  Rel. int.  (hkl)
23.87  23  0 1 3
28.78  20  1 1 2
35.75  100  1 2 1
36.89  83  1 1 4
43.91  28  2 0 0
46.39  29  0 3 3

# 8
The following is a calculated powder XRD pattern of Ho3P11. It was derived from a cell relaxed with PBE, using λ = 1.5418 Å (Cu Kα).

Unit cell a=12.9561 b=7.4240 c=6.1273 alpha=90.00 beta=101.16 gamma=90.00
Space group Cm (No. 8)
One atom of each set of equivalent atoms:
Ho  0.0000  0.0000  0.0000
Ho  0.1162  0.5000  0.2668
Ho  0.3491  0.0000  0.0158
P  0.0142  0.5000  0.7644
P  0.1635  0.1568  0.8318
P  0.2036  0.0000  0.3109
P  0.2309  0.2259  0.5440
P  0.3315  0.5000  0.1910
P  0.4147  0.2491  0.6614
P  0.4370  0.2563  0.3063

The 6 most intense peaks (10° ≤ 2θ ≤ 80°), in order of rising 2θ:
two_theta  Rel. int.  (hkl)
14.74  67  0 0 1
19.23  52  1 1 -1
23.97  45  0 2 0
24.19  63  3 1 0
28.26  100  0 2 1
30.54  80  3 1 1

# 9
The following is a calculated powder XRD pattern of In4Pd17Se4. It was derived from a cell relaxed with PBE, using λ = 1.5418 Å (Cu Kα).

Unit cell a=14.4752 b=14.4752 c=4.0112 alpha=90.00 beta=90.00 gamma=90.00
Space group I4/m (No. 87)
One atom of each set of equivalent atoms:
In  0.1156  0.1616  0.0000
Pd  0.0000  0.0000  0.0000
Pd  0.0213  0.8633  0.5000
Pd  0.0452  0.7278  0.0000
Pd  0.0915  0.3020  0.5000
Pd  0.1847  0.7484  0.5000
Se  0.0712  0.6217  0.5000

The 6 most intense peaks (10° ≤ 2θ ≤ 80°), in order of rising 2θ:
two_theta  Rel. int.  (hkl)
38.34  100  3 4 1
44.25  32  7 1 0
45.21  18  0 0 2
65.11  19  7 1 2
77.47  18  2 11 1
78.85  12  3 4 3

# 10
The following is a calculated powder XRD pattern of La2BeZnSi2. It was derived from a cell relaxed with PBE, using λ = 1.5418 Å (Cu Kα).

Unit cell a=4.1176 b=4.1176 c=8.7610 alpha=90.00 beta=90.00 gamma=120.00
Space group P-6m2 (No. 187)
One atom of each set of equivalent atoms:
La  0.0000  0.0000  0.2450
Be  0.6667  0.3333  0.0000
Zn  0.3333  0.6667  0.5000
Si  0.3333  0.6667  0.0000
Si  0.6667  0.3333  0.5000

The 6 most intense peaks (10° ≤ 2θ ≤ 80°), in order of rising 2θ:
two_theta  Rel. int.  (hkl)
24.97  37  1 0 0
32.37  100  1 0 2
43.98  30  1 1 0
55.66  21  2 0 2
61.85  21  1 1 4
73.52  18  2 1 2

# 11
The following is a calculated powder XRD pattern of GaFeNi2. It was derived from a cell relaxed with PBE, using λ = 1.5418 Å (Cu Kα).

Unit cell a=5.6704 b=5.6704 c=5.6704 alpha=90.00 beta=90.00 gamma=90.00
Space group F-43m (No. 216)
One atom of each set of equivalent atoms:
Ga  0.0000  0.0000  0.0000
Fe  0.2500  0.2500  0.2500
Ni  0.0000  0.0000  0.5000
Ni  0.2500  0.2500  0.7500

The 2 most intense peaks (10° ≤ 2θ ≤ 80°), in order of rising 2θ:
two_theta  Rel. int.  (hkl)
45.23  100  2 2 0
65.89  15  4 0 0

# 12
The following is a calculated powder XRD pattern of NbPb2Se2ClO8. It was derived from a cell relaxed with PBE, using λ = 1.5418 Å (Cu Kα).

Unit cell a=8.4388 b=5.4281 c=10.6818 alpha=90.00 beta=111.28 gamma=90.00
Space group P2_1 (No. 4)
One atom of each set of equivalent atoms:
Nb  0.1605  0.0000  0.0652
Pb  0.2009  0.9948  0.4782
Pb  0.3150  0.5319  0.7979
Se  0.0104  0.9852  0.7254
Se  0.3800  0.4970  0.2025
Cl  0.3681  0.4740  0.5391
O  0.0390  0.6823  0.0461
O  0.0576  0.7655  0.6243
O  0.0762  0.2478  0.6675
O  0.1751  0.0780  0.2341
O  0.1833  0.9161  0.8707
O  0.3264  0.2909  0.0637
O  0.3852  0.7765  0.1204
O  0.4098  0.9388  0.7277

The 6 most intense peaks (10° ≤ 2θ ≤ 80°), in order of rising 2θ:
two_theta  Rel. int.  (hkl)
23.87  77  1 1 -2
25.06  41  1 0 -3
28.02  100  2 1 0
29.50  65  1 1 2
32.76  37  2 1 -3
33.00  56  0 2 0